[1]
This entry pairs a crystal structure of RbNi2F6 with its simulated XRD peak list. Radiation: CuKα. Structure: DFT lattice parameters and positions (PBE+U).
No peak broadening, texture or thermal motion is included.

Most intense lines, 5° ≤ 2θ ≤ 70°, by intensity:
- 3.077 Å, intensity 100, hkl 3 1 1
- 1.804 Å, intensity 42, hkl 4 4 0
- 1.964 Å, intensity 30, hkl 3 3 3
- 2.946 Å, intensity 29, hkl 2 2 2
- 3.609 Å, intensity 17, hkl 2 2 0
- 1.557 Å, intensity 14, hkl 5 3 3
- 1.539 Å, intensity 11, hkl 6 2 2
- 5.893 Å, intensity 11, hkl 1 1 1

Structural model:
Cell lengths 10.2067, 10.2067, 10.2067 Å; angles 90.00, 90.00, 90.00 degrees
Space group Fd-3m (No. 227, origin choice 2)
One atom of each set of equivalent atoms:
Rb (0.1250, 0.1250, 0.1250) [8 per cell]
Ni (0.0000, 0.0000, 0.5000) [16 per cell]
F (0.0720, 0.3750, 0.8750) [48 per cell]


[2]
This entry pairs a crystal structure of Sm2FeSbO7 with its simulated XRD peak list. Radiation: CuKα. Structure: DFT lattice parameters and positions (PBE+U).
No peak broadening, texture or thermal motion is included.

Most intense lines, 5° ≤ 2θ ≤ 70°, by intensity:
- 3.043 Å, intensity 100, hkl 0 2 2
- 3.011 Å, intensity 98, hkl 2 0 2
- 1.852 Å, intensity 63, hkl 2 2 4
- 2.624 Å, intensity 42, hkl 2 2 0
- 1.576 Å, intensity 42, hkl 2 0 6
- 1.589 Å, intensity 29, hkl 2 4 2
- 2.615 Å, intensity 21, hkl 0 0 4
- 1.870 Å, intensity 17, hkl 0 4 0

Structural model:
```
data_Sm2FeSbO7
_chemical_formula_sum 'Sm8 Fe4 Sb4 O28'
_cell_length_a 7.3664
_cell_length_b 7.4812
_cell_length_c 10.4606
_cell_angle_alpha 90.00
_cell_angle_beta 90.00
_cell_angle_gamma 90.00
_space_group_name_H-M_alt 'I m m a'
_space_group_IT_number 74
_space_group_name_Hall '-I 2b 2'
loop_
_atom_site_label
_atom_site_type_symbol
_atom_site_fract_x
_atom_site_fract_y
_atom_site_fract_z
Sm1 Sm 0.0000 0.0000 0.0000
Sm2 Sm 0.2500 0.2500 0.2500
Fe1 Fe 0.2500 0.2500 0.7500
Sb1 Sb 0.0000 0.0000 0.5000
O1 O 0.0000 0.2500 0.1266
O2 O 0.0000 0.2500 0.4219
O3 O 0.0000 0.2500 0.8356
O4 O 0.2015 0.0386 0.6251
```


[3]
This entry pairs a crystal structure of Ti3V2FeP6O24 with its simulated XRD peak list. Radiation: CuKα. Structure: DFT lattice parameters and positions (PBE+U).
No peak broadening, texture or thermal motion is included.

Most intense lines, 5° ≤ 2θ ≤ 70°, by intensity:
- 3.684 Å, intensity 100, hkl 1 1 3
- 4.352 Å, intensity 61, hkl 1 1 0
- 2.708 Å, intensity 57, hkl 1 1 6
- 2.513 Å, intensity 30, hkl 3 0 0
- 1.918 Å, intensity 25, hkl 3 -2 8
- 1.842 Å, intensity 22, hkl 4 -2 6
- 1.645 Å, intensity 19, hkl 4 1 0
- 2.823 Å, intensity 15, hkl 2 1 1

Structural model:
```
data_Ti3V2FeP6O24
_chemical_formula_sum 'Ti9 V6 Fe3 P18 O72'
_cell_length_a 8.7042
_cell_length_b 8.7042
_cell_length_c 20.7492
_cell_angle_alpha 90.00
_cell_angle_beta 90.00
_cell_angle_gamma 120.00
_space_group_name_H-M_alt 'R 3'
_space_group_IT_number 146
_space_group_name_Hall 'R 3'
loop_
_atom_site_label
_atom_site_type_symbol
_atom_site_fract_x
_atom_site_fract_y
_atom_site_fract_z
Ti1 Ti 0.0000 0.0000 0.0000
Ti2 Ti 0.0000 0.0000 0.2130
Ti3 Ti 0.0000 0.0000 0.5028
V1 V 0.0000 0.0000 0.3568
V2 V 0.0000 0.0000 0.8565
Fe1 Fe 0.0000 0.0000 0.7143
P1 P 0.0003 0.2953 0.6089
P2 P 0.0017 0.7071 0.1077
O1 O 0.0045 0.2079 0.6704
O2 O 0.0115 0.1795 0.2791
O3 O 0.0194 0.8227 0.1672
O4 O 0.0207 0.8286 0.7853
O5 O 0.1447 0.6705 0.7132
O6 O 0.1462 0.4750 0.2145
O7 O 0.1673 0.4840 0.5991
O8 O 0.1705 0.6884 0.1000
```


[4]
This entry pairs a crystal structure of Fe4O3F5 with its simulated XRD peak list. Radiation: CuKα. Structure: DFT lattice parameters and positions (PBE+U).
No peak broadening, texture or thermal motion is included.

Most intense lines, 5° ≤ 2θ ≤ 70°, by intensity:
- 3.519 Å, intensity 100, hkl 0 2 0
- 2.606 Å, intensity 100, hkl 2 1 1
- 3.279 Å, intensity 91, hkl 0 0 2
- 1.800 Å, intensity 66, hkl 2 3 1
- 1.421 Å, intensity 52, hkl 2 3 3
- 1.732 Å, intensity 49, hkl 2 1 3
- 1.551 Å, intensity 28, hkl 4 0 0
- 1.759 Å, intensity 21, hkl 0 4 0

Structural model:
```
data_Fe4O3F5
_chemical_formula_sum 'Fe8 O6 F10'
_cell_length_a 6.2084
_cell_length_b 7.0373
_cell_length_c 6.5587
_cell_angle_alpha 90.00
_cell_angle_beta 90.00
_cell_angle_gamma 90.00
_space_group_name_H-M_alt 'P m m n'
_space_group_IT_number 59
loop_
_space_group_symop_operation_xyz
'x,y,z'
'-x,-y,-z'
'-x+1/2,-y+1/2,z'
'x+1/2,y+1/2,-z'
'x+1/2,-y,-z'
'-x+1/2,y,z'
'-x,y+1/2,-z'
'x,-y+1/2,z'
loop_
_atom_site_label
_atom_site_type_symbol
_atom_site_fract_x
_atom_site_fract_y
_atom_site_fract_z
Fe1 Fe 0.0183 0.2500 0.2378
Fe2 Fe 0.2500 0.2500 0.7374
Fe3 Fe 0.2500 0.7500 0.2231
O1 O 0.2500 0.2500 0.0431
O2 O 0.2500 0.2500 0.4348
O3 O 0.2500 0.7500 0.9357
F1 F 0.0190 0.5515 0.2547
F2 F 0.2500 0.7500 0.5423
```


[5]
This entry pairs a crystal structure of Ni2As2O7 with its simulated XRD peak list. Radiation: CuKα. Structure: DFT lattice parameters and positions (PBE+U).
No peak broadening, texture or thermal motion is included.

Most intense lines, 5° ≤ 2θ ≤ 70°, by intensity:
- 3.199 Å, intensity 100, hkl 0 2 1
- 3.221 Å, intensity 51, hkl 1 1 1
- 2.907 Å, intensity 45, hkl 2 0 -1
- 2.553 Å, intensity 29, hkl 2 2 0
- 1.691 Å, intensity 28, hkl 1 3 2
- 2.026 Å, intensity 24, hkl 3 1 -1
- 5.105 Å, intensity 14, hkl 1 1 0
- 1.501 Å, intensity 14, hkl 3 3 -2

Structural model:
```
data_Ni2As2O7
_chemical_formula_sum 'Ni4 As4 O14'
_cell_length_a 6.4413
_cell_length_b 8.6835
_cell_length_c 4.8305
_cell_angle_alpha 90.00
_cell_angle_beta 101.53
_cell_angle_gamma 90.00
_space_group_name_H-M_alt 'C 1 2/m 1'
_space_group_IT_number 12
loop_
_space_group_symop_operation_xyz
'x,y,z'
'-x,-y,-z'
'-x,y,-z'
'x,-y,z'
'x+1/2,y+1/2,z'
'-x+1/2,-y+1/2,-z'
'-x+1/2,y+1/2,-z'
'x+1/2,-y+1/2,z'
loop_
_atom_site_label
_atom_site_type_symbol
_atom_site_fract_x
_atom_site_fract_y
_atom_site_fract_z
Ni1 Ni 0.0000 0.1881 0.0000
As1 As 0.2425 0.5000 0.3966
O1 O 0.0000 0.5000 0.5000
O2 O 0.0917 0.0000 0.2729
O3 O 0.2381 0.3320 0.2101
```


[6]
This entry pairs a crystal structure of Li2CrNiO4 with its simulated XRD peak list. Radiation: CuKα. Structure: DFT lattice parameters and positions (PBE+U).
No peak broadening, texture or thermal motion is included.

Most intense lines, 5° ≤ 2θ ≤ 70°, by intensity:
- 3.667 Å, intensity 100, hkl 1 0 1
- 2.027 Å, intensity 48, hkl 2 0 0
- 2.147 Å, intensity 28, hkl 0 0 4
- 1.474 Å, intensity 27, hkl 2 0 4
- 1.774 Å, intensity 22, hkl 2 1 1
- 2.385 Å, intensity 19, hkl 1 1 2
- 2.339 Å, intensity 16, hkl 1 0 3
- 1.434 Å, intensity 13, hkl 2 2 0

Structural model:
```
data_Li2CrNiO4
_chemical_formula_sum 'Li4 Cr2 Ni2 O8'
_cell_length_a 4.0550
_cell_length_b 4.0550
_cell_length_c 8.5888
_cell_angle_alpha 90.00
_cell_angle_beta 90.00
_cell_angle_gamma 90.00
_space_group_name_H-M_alt 'I -4 m 2'
_space_group_IT_number 119
_space_group_name_Hall 'I -4 -2'
loop_
_atom_site_label
_atom_site_type_symbol
_atom_site_fract_x
_atom_site_fract_y
_atom_site_fract_z
Li1 Li 0.0000 0.0000 0.0000
Li2 Li 0.0000 0.5000 0.2500
Cr1 Cr 0.0000 0.5000 0.7500
Ni1 Ni 0.0000 0.0000 0.5000
O1 O 0.0000 0.0000 0.2689
O2 O 0.0000 0.5000 0.5178
```


[7]
This entry pairs a crystal structure of Li2TiMn3O8 with its simulated XRD peak list. Radiation: CuKα. Structure: DFT lattice parameters and positions (PBE+U).
No peak broadening, texture or thermal motion is included.

Most intense lines, 5° ≤ 2θ ≤ 70°, by intensity:
- 4.398 Å, intensity 100, hkl 1 0 1
- 4.736 Å, intensity 85, hkl 0 0 2
- 1.952 Å, intensity 66, hkl 2 0 3
- 2.402 Å, intensity 57, hkl 2 0 1
- 1.506 Å, intensity 50, hkl 2 0 5
- 2.453 Å, intensity 49, hkl 1 1 2
- 2.199 Å, intensity 45, hkl 2 0 2
- 1.434 Å, intensity 41, hkl 2 2 0

Structural model:
```
data_Li2TiMn3O8
_chemical_formula_sum 'Li4 Ti2 Mn6 O16'
_cell_length_a 5.7341
_cell_length_b 5.7341
_cell_length_c 9.4724
_cell_angle_alpha 90.00
_cell_angle_beta 90.00
_cell_angle_gamma 120.00
_space_group_name_H-M_alt 'P 63 m c'
_space_group_IT_number 186
_space_group_name_Hall 'P 6c -2c'
loop_
_atom_site_label
_atom_site_type_symbol
_atom_site_fract_x
_atom_site_fract_y
_atom_site_fract_z
Li1 Li 0.0000 0.0000 0.0000
Li2 Li 0.3333 0.6667 0.4020
Ti1 Ti 0.3333 0.6667 0.9996
Mn1 Mn 0.1712 0.3423 0.7201
O1 O 0.0000 0.0000 0.3128
O2 O 0.0384 0.5192 0.8420
O3 O 0.1657 0.3314 0.1034
O4 O 0.3333 0.6667 0.6121
```


[8]
This entry pairs a crystal structure of LiCoOF2 with its simulated XRD peak list. Radiation: CuKα. Structure: DFT lattice parameters and positions (PBE+U).
No peak broadening, texture or thermal motion is included.

Most intense lines, 5° ≤ 2θ ≤ 70°, by intensity:
- 4.701 Å, intensity 100, hkl 0 0 2
- 4.248 Å, intensity 56, hkl 0 1 -1
- 2.280 Å, intensity 43, hkl -1 1 1
- 2.247 Å, intensity 35, hkl 1 2 -2
- 2.229 Å, intensity 35, hkl 2 1 3
- 4.217 Å, intensity 25, hkl 1 1 1
- 2.749 Å, intensity 19, hkl 0 1 -3
- 3.732 Å, intensity 19, hkl 1 1 -1

Structural model:
```
data_LiCoOF2
_chemical_formula_sum 'Li4 Co4 O4 F8'
_cell_length_a 5.0830
_cell_length_b 5.1484
_cell_length_c 9.8139
_cell_angle_alpha 89.68
_cell_angle_beta 75.38
_cell_angle_gamma 60.59
_space_group_name_H-M_alt 'P -1'
_space_group_IT_number 2
loop_
_space_group_symop_operation_xyz
'x,y,z'
'-x,-y,-z'
loop_
_atom_site_label
_atom_site_type_symbol
_atom_site_fract_x
_atom_site_fract_y
_atom_site_fract_z
Li1 Li 0.1321 0.1960 0.0404
Li2 Li 0.1513 0.6750 0.5409
Co1 Co 0.3356 0.5713 0.2275
Co2 Co 0.3402 0.1136 0.7273
O1 O 0.0699 0.5846 0.1352
O2 O 0.4573 0.3582 0.6402
F1 F 0.0740 0.0613 0.6247
F2 F 0.2646 0.8128 0.8644
F3 F 0.2669 0.3000 0.3713
F4 F 0.4444 0.8720 0.1226
```


[9]
This entry pairs a crystal structure of CoSbO4 with its simulated XRD peak list. Radiation: CuKα. Structure: DFT lattice parameters and positions (PBE+U).
No peak broadening, texture or thermal motion is included.

Most intense lines, 5° ≤ 2θ ≤ 70°, by intensity:
- 3.605 Å, intensity 100, hkl 1 0 1
- 1.956 Å, intensity 24, hkl 2 0 0
- 2.377 Å, intensity 24, hkl 1 1 2
- 1.719 Å, intensity 23, hkl 2 1 1
- 2.429 Å, intensity 18, hkl 1 0 3
- 2.324 Å, intensity 16, hkl 0 0 4
- 1.679 Å, intensity 15, hkl 1 0 5
- 1.496 Å, intensity 14, hkl 2 0 4

Structural model:
```
data_CoSbO4
_chemical_formula_sum 'Co2 Sb2 O8'
_cell_length_a 3.9112
_cell_length_b 3.9112
_cell_length_c 9.2949
_cell_angle_alpha 90.00
_cell_angle_beta 90.00
_cell_angle_gamma 90.00
_space_group_name_H-M_alt 'I -4 m 2'
_space_group_IT_number 119
_space_group_name_Hall 'I -4 -2'
loop_
_atom_site_label
_atom_site_type_symbol
_atom_site_fract_x
_atom_site_fract_y
_atom_site_fract_z
Co1 Co 0.0000 0.0000 0.0000
Sb1 Sb 0.0000 0.5000 0.2500
O1 O 0.0000 0.0000 0.2033
O2 O 0.0000 0.5000 0.0372
```


[10]
This entry pairs a crystal structure of MgFe4Cu2O8 with its simulated XRD peak list. Radiation: CuKα. Structure: DFT lattice parameters and positions (PBE+U).
No peak broadening, texture or thermal motion is included.

Most intense lines, 5° ≤ 2θ ≤ 70°, by intensity:
- 2.579 Å, intensity 100, hkl 0 0 2
- 2.956 Å, intensity 91, hkl 1 0 -2
- 2.521 Å, intensity 69, hkl 2 1 -1
- 1.619 Å, intensity 52, hkl -2 2 2
- 2.079 Å, intensity 28, hkl 2 2 -2
- 1.957 Å, intensity 25, hkl 0 2 -3
- 2.986 Å, intensity 21, hkl 0 1 -2
- 3.240 Å, intensity 19, hkl 1 -1 1

Structural model:
```
data_MgFe4Cu2O8
_chemical_formula_sum 'Mg1 Fe4 Cu2 O8'
_cell_length_a 5.7718
_cell_length_b 6.0029
_cell_length_c 6.6302
_cell_angle_alpha 116.90
_cell_angle_beta 115.76
_cell_angle_gamma 90.00
_space_group_name_H-M_alt 'P 1'
_space_group_IT_number 1
loop_
_space_group_symop_operation_xyz
'x,y,z'
loop_
_atom_site_label
_atom_site_type_symbol
_atom_site_fract_x
_atom_site_fract_y
_atom_site_fract_z
Mg1 Mg 0.0000 0.0000 0.0000
Fe1 Fe 0.0229 0.7717 0.5388
Fe2 Fe 0.2481 0.2567 0.5071
Fe3 Fe 0.5089 0.7835 0.5611
Fe4 Fe 0.9411 0.4556 0.9095
Cu1 Cu 0.5687 0.3176 0.1516
Cu2 Cu 0.5685 0.8374 0.1511
O1 O 0.3336 0.5863 0.1689
O2 O 0.3354 0.0511 0.6684
O3 O 0.3364 0.6238 0.6696
O4 O 0.3793 0.1122 0.2207
O5 O 0.7916 0.5734 0.1434
O6 O 0.8362 0.1116 0.2195
O7 O 0.8482 0.0850 0.7227
O8 O 0.8482 0.6386 0.7221
```